This entry pairs a crystal structure of YB5O9 with its theoretical PXRD pattern. Radiation: CuKα. Structure: the GGA-PBE geometry in Alexandria.
Kinematic intensities with the Lorentz-polarization factor, no thermal factor.

Most intense lines, 10 to 80 degrees two-theta, in order of rising 2θ:
(0 1 1), 2θ 13.7, 6.483 Å, rel. 571
(1 1 0), 2θ 16.3, 5.428 Å, rel. 1000
(0 1 2), 2θ 24.0, 3.710 Å, rel. 540
(0 3 1), 2θ 25.8, 3.454 Å, rel. 706
(1 3 -1), 2θ 28.1, 3.176 Å, rel. 539
(2 0 0), 2θ 29.0, 3.075 Å, rel. 512
(1 3 1), 2θ 31.2, 2.870 Å, rel. 390
(0 4 1), 2θ 33.1, 2.710 Å, rel. 366
(3 1 0), 2θ 44.9, 2.018 Å, rel. 470
(2 3 -3), 2θ 45.6, 1.989 Å, rel. 433

Structure:
abc: 6.386 11.543 8.136
angles: 90.00 105.61 90.00
Space group P2_1/c (No. 14)
Asymmetric unit:
Y 0.248 0.175 0.369 x4
B 0.139 0.032 0.744 x4
B 0.193 0.627 0.910 x4
B 0.229 0.749 0.667 x4
B 0.289 0.062 0.053 x4
B 0.490 0.595 0.779 x4
O 0.078 0.517 0.841 x4
O 0.107 0.718 0.777 x4
O 0.137 0.660 0.066 x4
O 0.217 0.507 0.410 x4
O 0.239 0.177 0.058 x4
O 0.270 0.094 0.667 x4
O 0.405 0.017 0.208 x4
O 0.421 0.697 0.662 x4
O 0.427 0.615 0.937 x4



This entry pairs a crystal structure of DyTh6Sc2 with its theoretical PXRD pattern. Radiation: CuKα. Structure: the GGA-PBE geometry in Alexandria.
Kinematic intensities with the Lorentz-polarization factor, no thermal factor.

Most intense lines, 10 to 80 degrees two-theta, in order of rising 2θ:
(0 0 3), 2θ 10.1, 8.775 Å, rel. 331
(1 0 0), 2θ 29.5, 3.023 Å, rel. 637
(1 0 1), 2θ 29.7, 3.004 Å, rel. 259
(0 0 9), 2θ 30.6, 2.925 Å, rel. 552
(1 0 4), 2θ 32.6, 2.747 Å, rel. 852
(1 0 5), 2θ 34.2, 2.622 Å, rel. 1000
(1 0 9), 2θ 43.0, 2.102 Å, rel. 424
(1 1 0), 2θ 52.4, 1.746 Å, rel. 402
(1 0 14), 2θ 57.7, 1.597 Å, rel. 270
(1 1 9), 2θ 61.9, 1.499 Å, rel. 457

Structure:
abc: 3.4911 3.4911 26.3239
angles: 90.00 90.00 120.00
Space group P-6m2 (No. 187)
Asymmetric unit:
Dy 0.0000 0.0000 0.0000 x1
Th 0.0000 0.0000 0.2251 x2
Th 0.0000 0.0000 0.4363 x2
Th 0.3333 0.6667 0.1131 x2
Sc 0.3333 0.6667 0.3316 x2



This entry pairs a crystal structure of Ca2Co2Ir with its theoretical PXRD pattern. Radiation: CuKα. Structure: the GGA-PBE geometry in Alexandria.
Kinematic intensities with the Lorentz-polarization factor, no thermal factor.

Most intense lines, 10 to 80 degrees two-theta, in order of rising 2θ:
(0 0 1), 2θ 19.5, 4.545 Å, rel. 852
(1 1 0), 2θ 19.8, 4.491 Å, rel. 382
(1 1 1), 2θ 27.9, 3.194 Å, rel. 529
(2 0 1), 2θ 34.5, 2.603 Å, rel. 1000
(2 1 1), 2θ 37.3, 2.409 Å, rel. 533
(0 0 2), 2θ 39.7, 2.272 Å, rel. 431
(2 2 0), 2θ 40.2, 2.245 Å, rel. 276
(3 1 0), 2θ 45.1, 2.008 Å, rel. 597
(3 1 1), 2θ 49.6, 1.837 Å, rel. 555
(3 1 2), 2θ 61.6, 1.505 Å, rel. 464

Structure:
abc: 6.351 6.351 4.545
angles: 90.00 90.00 90.00
Space group P4/mbm (No. 127)
Asymmetric unit:
Ca 0.185 0.315 0.000 x4
Co 0.124 0.624 0.500 x4
Ir 0.000 0.000 0.500 x2



This entry pairs a crystal structure of Np4Ge6Os7 with its theoretical PXRD pattern. Radiation: CuKα. Structure: the GGA-PBE geometry in Alexandria.
Kinematic intensities with the Lorentz-polarization factor, no thermal factor.

Most intense lines, 10 to 80 degrees two-theta, in order of rising 2θ:
(2 1 1), 2θ 26.2, 3.408 Å, rel. 177
(2 2 0), 2θ 30.3, 2.951 Å, rel. 235
(2 2 2), 2θ 37.3, 2.409 Å, rel. 1000
(3 2 1), 2θ 40.4, 2.231 Å, rel. 276
(4 0 0), 2θ 43.4, 2.087 Å, rel. 668
(3 3 2), 2θ 51.3, 1.780 Å, rel. 127
(4 4 0), 2θ 63.0, 1.475 Å, rel. 404
(6 2 2), 2θ 75.6, 1.258 Å, rel. 329
(6 3 1), 2θ 77.6, 1.231 Å, rel. 78
(4 4 4), 2θ 79.6, 1.205 Å, rel. 126

Structure:
abc: 8.347 8.347 8.347
angles: 90.00 90.00 90.00
Space group Im-3m (No. 229)
Asymmetric unit:
Np 0.250 0.250 0.250 x8
Ge 0.000 0.000 0.307 x12
Os 0.000 0.000 0.000 x2
Os 0.000 0.250 0.500 x12



This entry pairs a crystal structure of Nd6Ho2Tm3 with its theoretical PXRD pattern. Radiation: CuKα. Structure: the GGA-PBE geometry in Alexandria.
Kinematic intensities with the Lorentz-polarization factor, no thermal factor.

Most intense lines, 10 to 80 degrees two-theta, in order of rising 2θ:
(0 1 2), 2θ 30.4, 2.940 Å, rel. 1000
(1 2 -1), 2θ 30.5, 2.934 Å, rel. 332
(2 0 1), 2θ 35.2, 2.548 Å, rel. 451
(1 -3 0), 2θ 35.4, 2.538 Å, rel. 223
(1 3 1), 2θ 50.7, 1.800 Å, rel. 241
(3 -3 1), 2θ 50.8, 1.796 Å, rel. 160
(2 1 3), 2θ 60.2, 1.538 Å, rel. 96
(3 2 0), 2θ 60.3, 1.535 Å, rel. 239
(4 -1 0), 2θ 60.4, 1.533 Å, rel. 143
(2 4 -2), 2θ 63.4, 1.468 Å, rel. 123

Structure:
abc: 6.229 8.024 8.067
angles: 107.37 97.40 104.90
Space group P-1 (No. 2)
Asymmetric unit:
Nd 0.048 0.182 0.408 x2
Nd 0.136 0.546 0.230 x2
Nd 0.320 0.271 0.866 x2
Ho 0.229 0.911 0.047 x2
Tm 0.410 0.639 0.683 x2
Tm 0.500 0.000 0.500 x1



This entry pairs a crystal structure of SmTm3Mg8 with its theoretical PXRD pattern. Radiation: CuKα. Structure: the GGA-PBE geometry in Alexandria.
Kinematic intensities with the Lorentz-polarization factor, no thermal factor.

Most intense lines, 10 to 80 degrees two-theta, in order of rising 2θ:
(1 0 0), 2θ 16.9, 5.236 Å, rel. 460
(0 0 2), 2θ 18.2, 4.871 Å, rel. 247
(1 0 1), 2θ 19.2, 4.612 Å, rel. 327
(0 1 2), 2θ 25.0, 3.567 Å, rel. 225
(1 1 0), 2θ 29.5, 3.023 Å, rel. 821
(1 0 3), 2θ 32.4, 2.760 Å, rel. 1000
(1 1 2), 2θ 34.9, 2.569 Å, rel. 766
(0 2 1), 2θ 35.5, 2.528 Å, rel. 300
(2 1 3), 2θ 54.3, 1.690 Å, rel. 454
(0 2 5), 2θ 59.1, 1.563 Å, rel. 224

Structure:
abc: 6.0463 6.0463 9.7423
angles: 90.00 90.00 120.00
Space group P3m1 (No. 156)
Asymmetric unit:
Sm 0.0000 0.0000 0.0000 x1
Tm 0.0000 0.0000 0.3733 x1
Tm 0.6667 0.3333 0.4964 x1
Tm 0.6667 0.3333 0.8668 x1
Mg 0.1628 0.3256 0.6831 x3
Mg 0.3333 0.6667 0.4347 x1
Mg 0.3333 0.6667 0.9342 x1
Mg 0.5044 0.0087 0.1858 x3



This entry pairs a crystal structure of Ba6IrAu2N with its theoretical PXRD pattern. Radiation: CuKα. Structure: the GGA-PBE geometry in Alexandria.
Kinematic intensities with the Lorentz-polarization factor, no thermal factor.

Most intense lines, 10 to 80 degrees two-theta, in order of rising 2θ:
(1 2 -2), 2θ 25.5, 3.493 Å, rel. 622
(1 0 2), 2θ 26.4, 3.373 Å, rel. 571
(2 1 -3), 2θ 26.7, 3.338 Å, rel. 1000
(1 1 -4), 2θ 28.5, 3.127 Å, rel. 560
(1 2 1), 2θ 29.0, 3.076 Å, rel. 534
(2 2 -2), 2θ 31.6, 2.832 Å, rel. 508
(0 0 4), 2θ 31.8, 2.813 Å, rel. 556
(1 3 -1), 2θ 34.2, 2.621 Å, rel. 582
(1 3 0), 2θ 35.1, 2.555 Å, rel. 571
(3 1 -1), 2θ 40.1, 2.249 Å, rel. 699

Structure:
abc: 7.699 8.360 13.623
angles: 90.00 124.32 90.00
Space group P2_1/c (No. 14)
Asymmetric unit:
Ba 0.123 0.029 0.237 x4
Ba 0.232 0.699 0.057 x4
Ba 0.354 0.179 0.054 x4
Ir 0.500 0.000 0.500 x2
Au 0.291 0.093 0.751 x4
N 0.000 0.000 0.000 x2



This entry pairs a crystal structure of CsLiInSe2 with its theoretical PXRD pattern. Radiation: CuKα. Structure: the GGA-PBE geometry in Alexandria.
Kinematic intensities with the Lorentz-polarization factor, no thermal factor.

Most intense lines, 10 to 80 degrees two-theta, in order of rising 2θ:
(0 0 1), 2θ 13.5, 6.545 Å, rel. 244
(0 2 1), 2θ 17.9, 4.966 Å, rel. 209
(1 3 1), 2θ 25.7, 3.465 Å, rel. 1000
(2 2 0), 2θ 28.5, 3.130 Å, rel. 246
(0 2 2), 2θ 29.7, 3.007 Å, rel. 244
(1 5 1), 2θ 35.0, 2.564 Å, rel. 213
(2 0 2), 2θ 38.0, 2.369 Å, rel. 419
(0 6 2), 2θ 45.2, 2.007 Å, rel. 161
(3 3 1), 2θ 45.6, 1.988 Å, rel. 206
(1 3 3), 2θ 47.2, 1.924 Å, rel. 181

Structure:
abc: 6.865 15.245 6.545
angles: 90.00 90.00 90.00
Space group Cmme (No. 67)
Asymmetric unit:
Cs 0.000 0.250 0.248 x4
Li 0.000 0.000 0.500 x4
In 0.250 0.000 0.000 x4
Se 0.000 0.111 0.763 x8



This entry pairs a crystal structure of Pu2AlGa4Pd3 with its theoretical PXRD pattern. Radiation: CuKα. Structure: the GGA-PBE geometry in Alexandria.
Kinematic intensities with the Lorentz-polarization factor, no thermal factor.

Most intense lines, 10 to 80 degrees two-theta, in order of rising 2θ:
(1 0 1), 2θ 23.2, 3.835 Å, rel. 169
(1 1 0), 2θ 31.1, 2.876 Å, rel. 387
(1 0 3), 2θ 32.1, 2.791 Å, rel. 777
(1 1 2), 2θ 34.9, 2.573 Å, rel. 1000
(2 0 0), 2θ 44.6, 2.034 Å, rel. 483
(1 0 5), 2θ 45.3, 2.003 Å, rel. 485
(2 1 3), 2θ 55.9, 1.644 Å, rel. 326
(2 2 0), 2θ 64.8, 1.438 Å, rel. 214
(2 1 5), 2θ 65.4, 1.427 Å, rel. 324
(3 1 2), 2θ 75.8, 1.255 Å, rel. 213

Structure:
abc: 4.067 4.067 11.510
angles: 90.00 90.00 90.00
Space group P-4m2 (No. 115)
Asymmetric unit:
Pu 0.000 0.500 0.247 x2
Al 0.000 0.000 0.500 x1
Ga 0.000 0.000 0.000 x1
Ga 0.000 0.500 0.641 x2
Ga 0.500 0.500 0.000 x1
Pd 0.000 0.500 0.860 x2
Pd 0.500 0.500 0.500 x1



This entry pairs a crystal structure of TiSb2Pt2 with its theoretical PXRD pattern. Radiation: CuKα. Structure: the GGA-PBE geometry in Alexandria.
Kinematic intensities with the Lorentz-polarization factor, no thermal factor.

Most intense lines, 10 to 80 degrees two-theta, in order of rising 2θ:
(1 1 0), 2θ 17.6, 5.052 Å, rel. 206
(2 1 1), 2θ 36.4, 2.468 Å, rel. 1000
(3 1 0), 2θ 39.9, 2.259 Å, rel. 241
(3 2 0), 2θ 45.8, 1.982 Å, rel. 89
(0 0 2), 2θ 46.7, 1.944 Å, rel. 135
(3 3 0), 2θ 54.5, 1.684 Å, rel. 72
(4 1 1), 2θ 58.3, 1.583 Å, rel. 89
(3 1 2), 2θ 63.1, 1.474 Å, rel. 123
(5 2 1), 2θ 75.8, 1.256 Å, rel. 121
(2 1 3), 2θ 79.9, 1.201 Å, rel. 144

Structure:
abc: 7.145 7.145 3.888
angles: 90.00 90.00 90.00
Space group P4/mbm (No. 127)
Asymmetric unit:
Ti 0.000 0.000 0.000 x2
Sb 0.178 0.322 0.500 x4
Pt 0.133 0.633 0.000 x4



This entry pairs a crystal structure of BaNdEu with its theoretical PXRD pattern. Radiation: CuKα. Structure: the GGA-PBE geometry in Alexandria.
Kinematic intensities with the Lorentz-polarization factor, no thermal factor.

Most intense lines, 10 to 80 degrees two-theta, in order of rising 2θ:
(0 0 3), 2θ 27.3, 3.262 Å, rel. 322
(1 0 1), 2θ 27.6, 3.229 Å, rel. 1000
(0 1 2), 2θ 31.9, 2.803 Å, rel. 688
(1 0 4), 2θ 45.6, 1.990 Å, rel. 240
(1 1 0), 2θ 46.0, 1.975 Å, rel. 251
(0 1 5), 2θ 54.0, 1.699 Å, rel. 144
(1 1 3), 2θ 54.3, 1.689 Å, rel. 285
(0 2 1), 2θ 54.5, 1.685 Å, rel. 150
(2 0 2), 2θ 57.0, 1.614 Å, rel. 131
(2 1 1), 2θ 74.0, 1.282 Å, rel. 122

Structure:
abc: 3.9494 3.9494 9.7871
angles: 90.00 90.00 120.00
Space group P3m1 (No. 156)
Asymmetric unit:
Ba 0.0000 0.0000 0.0000 x1
Nd 0.6667 0.3333 0.3376 x1
Eu 0.3333 0.6667 0.6405 x1



This entry pairs a crystal structure of DyTmSnPd with its theoretical PXRD pattern. Radiation: CuKα. Structure: the GGA-PBE geometry in Alexandria.
Kinematic intensities with the Lorentz-polarization factor, no thermal factor.

Most intense lines, 10 to 80 degrees two-theta, in order of rising 2θ:
(2 0 0), 2θ 24.6, 3.623 Å, rel. 38
(2 2 0), 2θ 35.0, 2.562 Å, rel. 1000
(2 2 2), 2θ 43.3, 2.092 Å, rel. 11
(4 0 0), 2θ 50.4, 1.811 Å, rel. 179
(4 2 0), 2θ 56.8, 1.620 Å, rel. 15
(4 2 2), 2θ 62.8, 1.479 Å, rel. 371
(4 4 0), 2θ 74.0, 1.281 Å, rel. 115
(6 0 0), 2θ 79.3, 1.208 Å, rel. 7

Structure:
abc: 7.246 7.246 7.246
angles: 90.00 90.00 90.00
Space group F-43m (No. 216)
Asymmetric unit:
Dy 0.000 0.000 0.000 x4
Tm 0.000 0.000 0.500 x4
Sn 0.250 0.250 0.250 x4
Pd 0.250 0.250 0.750 x4